# 1
The following is a theoretical powder X-ray diffraction pattern of CeHoAg4. It was derived from a GGA-PBE-relaxed structure, using Cu Kα, 1.54184 Å.
No peak broadening, texture or thermal motion is included.

Crystal structure
Cell lengths 5.412, 5.412, 7.764 Å; angles 110.60, 110.60, 39.61 degrees
Positions (direct):
Ce 0.000 0.000 0.000
Ho 0.000 0.000 0.500
Ag 0.328 0.328 0.655
Ag 0.329 0.329 0.177
Ag 0.671 0.671 0.823
Ag 0.672 0.672 0.345

The 10 most intense peaks (15° ≤ 2θ ≤ 90°), sorted by position:
- 2θ = 33.6°, intensity 100
- 2θ = 36.6°, intensity 39
- 2θ = 36.9°, intensity 39
- 2θ = 37.7°, intensity 73
- 2θ = 46.8°, intensity 19
- 2θ = 49.7°, intensity 16
- 2θ = 61.4°, intensity 16
- 2θ = 61.8°, intensity 16
- 2θ = 63.3°, intensity 15
- 2θ = 63.5°, intensity 15

***

# 2
The following is a theoretical powder X-ray diffraction pattern of Pr2NdYHo2. It was derived from a GGA-PBE-relaxed structure, using Cu Kα, 1.54184 Å.
No peak broadening, texture or thermal motion is included.

Crystal structure
Cell lengths 5.721, 9.899, 7.116 Å; angles 90.00, 90.00, 90.00 degrees
Positions (direct):
Pr 0.000 0.000 0.000
Pr 0.000 0.000 0.500
Pr 0.500 0.175 0.250
Pr 0.500 0.825 0.750
Nd 0.000 0.340 0.751
Nd 0.000 0.660 0.251
Y 0.500 0.500 0.001
Y 0.500 0.500 0.501
Ho 0.000 0.332 0.251
Ho 0.000 0.668 0.751
Ho 0.500 0.165 0.750
Ho 0.500 0.835 0.250

The 10 most intense peaks (15° ≤ 2θ ≤ 90°), sorted by position:
- 2θ = 30.9°, intensity 84
- 2θ = 31.3°, intensity 100
- 2θ = 40.5°, intensity 20
- 2θ = 44.6°, intensity 31
- 2θ = 55.5°, intensity 32
- 2θ = 55.7°, intensity 19
- 2θ = 61.4°, intensity 29
- 2θ = 65.3°, intensity 12
- 2θ = 74.0°, intensity 13
- 2θ = 79.2°, intensity 14

***

# 3
The following is a theoretical powder X-ray diffraction pattern of Ho2SeBr. It was derived from a GGA-PBE-relaxed structure, using Cu Kα, 1.54184 Å.
No peak broadening, texture or thermal motion is included.

Crystal structure
Cell lengths 8.319, 8.319, 8.319 Å; angles 26.21, 26.21, 26.21 degrees
Positions (direct):
Ho 0.000 0.000 0.000
Ho 0.185 0.185 0.185
Se 0.592 0.592 0.592
Br 0.425 0.425 0.425

The 10 most intense peaks (15° ≤ 2θ ≤ 90°), sorted by position:
- 2θ = 27.5°, intensity 23
- 2θ = 28.3°, intensity 26
- 2θ = 31.1°, intensity 23
- 2θ = 33.1°, intensity 100
- 2θ = 38.0°, intensity 37
- 2θ = 46.9°, intensity 22
- 2θ = 48.2°, intensity 42
- 2θ = 59.8°, intensity 18
- 2θ = 68.2°, intensity 21
- 2θ = 80.2°, intensity 16